No. 1
Diffraction record for NdSnMo3. The PXRD pattern is computed, not measured: it uses a cell relaxed with GGA-PBE and λ = 1.5418 Å (Cu Kα).
Kinematic intensities with the Lorentz-polarization factor, no thermal factor.

Main lines, by angle (10 to 80 degrees two-theta):
| 2θ/deg | Rel. int. |
| --- | --- |
| 27.9 | 63 |
| 29.1 | 66 |
| 32.2 | 60 |
| 33.1 | 57 |
| 33.7 | 88 |
| 35.3 | 68 |
| 36.9 | 87 |
| 37.3 | 60 |
| 37.6 | 100 |
| 38.1 | 74 |

Cell and atoms:
a b c (Å): 3.190 6.297 6.370
angles (deg): 114.67 98.75 103.25
Space group P1 (No. 1)
Unique sites:
Nd (0.000, 0.000, 0.000)
Sn (0.611, 0.671, 0.351)
Mo (0.080, 0.443, 0.565)
Mo (0.365, 0.104, 0.582)
Mo (0.892, 0.454, 0.932)



No. 2
Diffraction record for ZnH16C6Br4N2. The PXRD pattern is computed, not measured: it uses a cell relaxed with GGA-PBE and λ = 1.5418 Å (Cu Kα).
Kinematic intensities with the Lorentz-polarization factor, no thermal factor.

Main lines, by angle (10 to 80 degrees two-theta):
| 2θ/deg | Rel. int. |
| --- | --- |
| 12.5 | 37 |
| 13.4 | 37 |
| 14.3 | 45 |
| 15.2 | 31 |
| 17.7 | 24 |
| 19.1 | 47 |
| 23.7 | 84 |
| 27.3 | 27 |
| 28.2 | 100 |
| 38.6 | 45 |

Cell and atoms:
a b c (Å): 7.839 12.366 14.184
angles (deg): 90.00 94.86 90.00
Space group C2/c (No. 15)
Unique sites:
Zn (0.000, 0.028, 0.250)
H (0.023, 0.487, 0.138)
H (0.068, 0.281, 0.848)
H (0.069, 0.228, 0.571)
H (0.130, 0.362, 0.009)
H (0.150, 0.327, 0.654)
H (0.155, 0.352, 0.432)
H (0.182, 0.465, 0.877)
H (0.243, 0.444, 0.520)
C (0.018, 0.389, 0.963)
C (0.037, 0.302, 0.608)
C (0.126, 0.420, 0.476)
Br (0.052, 0.135, 0.113)
Br (0.248, 0.090, 0.779)
N (0.075, 0.487, 0.912)



No. 3
Diffraction record for ZnPd2. The PXRD pattern is computed, not measured: it uses a cell relaxed with GGA-PBE and λ = 1.5418 Å (Cu Kα).
Kinematic intensities with the Lorentz-polarization factor, no thermal factor.

Main lines, by angle (10 to 80 degrees two-theta):
| 2θ/deg | Rel. int. |
| --- | --- |
| 39.9 | 46 |
| 40.4 | 100 |
| 40.5 | 50 |
| 44.2 | 79 |
| 51.9 | 19 |
| 64.5 | 15 |
| 70.0 | 12 |
| 70.9 | 15 |
| 78.6 | 12 |
| 78.9 | 26 |

Cell and atoms:
a b c (Å): 4.604 2.890 6.755
angles (deg): 90.00 98.58 90.00
Space group P2/m (No. 10)
Unique sites:
Zn (0.209, 0.000, 0.319)
Pd (0.000, 0.500, 0.000)
Pd (0.283, 0.500, 0.646)
Pd (0.500, 0.000, 0.000)



No. 4
Diffraction record for Pr3NdZn12Ge6. The PXRD pattern is computed, not measured: it uses a cell relaxed with GGA-PBE and λ = 1.5418 Å (Cu Kα).
Kinematic intensities with the Lorentz-polarization factor, no thermal factor.

Main lines, by angle (10 to 80 degrees two-theta):
| 2θ/deg | Rel. int. |
| --- | --- |
| 31.9 | 100 |
| 34.7 | 14 |
| 35.7 | 21 |
| 40.7 | 33 |
| 42.1 | 52 |
| 44.0 | 24 |
| 49.4 | 13 |
| 52.6 | 14 |
| 61.5 | 19 |
| 68.5 | 21 |

Cell and atoms:
a b c (Å): 7.682 4.117 13.307
angles (deg): 90.00 90.00 90.00
Space group Pm (No. 6)
Unique sites:
Pr (0.000, 0.000, 0.000)
Pr (0.000, 0.000, 0.333)
Pr (0.500, 0.000, 0.500)
Nd (0.500, 0.000, 0.833)
Zn (0.145, 0.500, 0.522)
Zn (0.145, 0.500, 0.812)
Zn (0.189, 0.000, 0.667)
Zn (0.210, 0.500, 0.167)
Zn (0.406, 0.000, 0.072)
Zn (0.406, 0.000, 0.261)
Zn (0.645, 0.500, 0.022)
Zn (0.645, 0.500, 0.312)
Zn (0.689, 0.000, 0.167)
Zn (0.710, 0.500, 0.667)
Zn (0.906, 0.000, 0.572)
Zn (0.906, 0.000, 0.761)
Ge (0.310, 0.500, 0.357)
Ge (0.310, 0.500, 0.976)
Ge (0.381, 0.500, 0.667)
Ge (0.809, 0.500, 0.857)
Ge (0.810, 0.500, 0.476)
Ge (0.881, 0.500, 0.167)



No. 5
Diffraction record for Ni4SeBr2. The PXRD pattern is computed, not measured: it uses a cell relaxed with GGA-PBE and λ = 1.5418 Å (Cu Kα).
Kinematic intensities with the Lorentz-polarization factor, no thermal factor.

Main lines, by angle (10 to 80 degrees two-theta):
| 2θ/deg | Rel. int. |
| --- | --- |
| 13.6 | 47 |
| 20.5 | 9 |
| 24.7 | 13 |
| 40.5 | 100 |
| 41.8 | 56 |
| 44.1 | 9 |
| 51.6 | 19 |
| 60.5 | 18 |
| 72.7 | 11 |
| 75.4 | 30 |

Cell and atoms:
a b c (Å): 4.326 4.326 6.509
angles (deg): 90.00 90.00 90.00
Space group P4/mmm (No. 123)
Unique sites:
Ni (0.000, 0.500, 0.201)
Se (0.000, 0.000, 0.000)
Br (0.000, 0.000, 0.500)
Br (0.500, 0.500, 0.000)



No. 6
Diffraction record for PmBiS2I2. The PXRD pattern is computed, not measured: it uses a cell relaxed with GGA-PBE and λ = 1.5418 Å (Cu Kα).
Kinematic intensities with the Lorentz-polarization factor, no thermal factor.

Main lines, by angle (10 to 80 degrees two-theta):
| 2θ/deg | Rel. int. |
| --- | --- |
| 21.9 | 19 |
| 26.8 | 71 |
| 29.2 | 100 |
| 35.0 | 28 |
| 38.3 | 43 |
| 38.6 | 14 |
| 48.9 | 48 |
| 49.2 | 14 |
| 55.3 | 15 |
| 62.5 | 14 |

Cell and atoms:
a b c (Å): 4.697 4.697 8.066
angles (deg): 90.00 90.00 90.00
Space group P4mm (No. 99)
Unique sites:
Pm (0.000, 0.000, 0.000)
Bi (0.500, 0.500, 0.375)
S (0.000, 0.500, 0.198)
I (0.000, 0.000, 0.586)
I (0.500, 0.500, 0.848)